Record 1
Diffraction record for Cr4ClF6. The PXRD pattern is calculated, not measured: it uses a cell relaxed with GGA+U and CuKα.
Kinematic intensities with the Lorentz-polarization factor, no thermal factor.

Crystal structure
Cell: 5.481 5.484 6.438 Å, 70.87 70.91 86.54°
Sites, in units of the cell vectors:
Cr: 0.000 0.000 0.000
Cr: 0.205 0.733 0.491
Cr: 0.435 0.435 0.005
Cr: 0.701 0.228 0.514
Cl: 0.860 0.577 0.001
F: 0.007 0.428 0.502
F: 0.292 0.772 0.068
F: 0.405 0.029 0.503
F: 0.455 0.491 0.615
F: 0.663 0.143 0.937
F: 0.943 0.979 0.389

Peak list (10 most intense, 10 to 90 degrees two-theta, sorted by position)
2theta  d_spacing  intensity
24.97  3.566  67
28.37  3.146  73
29.89  2.989  18
31.11  2.875  100
33.02  2.713  35
35.82  2.507  25
49.07  1.856  28
53.68  1.707  22
55.26  1.662  25
57.94  1.592  32

---

Record 2
Diffraction record for Cr2H2Pb4ClO10F. The PXRD pattern is calculated, not measured: it uses a cell relaxed with GGA+U and CuKα.
Kinematic intensities with the Lorentz-polarization factor, no thermal factor.

Crystal structure
Cell: 7.662 6.983 12.012 Å, 90.00 90.00 90.00°
Sites, in units of the cell vectors:
Cr: 0.000 0.146 0.000
Cr: 0.000 0.147 0.503
Cr: 0.500 0.853 0.003
Cr: 0.500 0.854 0.500
H: 0.204 0.359 0.751
H: 0.296 0.641 0.251
H: 0.704 0.641 0.251
H: 0.796 0.359 0.751
Pb: 0.000 0.616 0.102
Pb: 0.000 0.617 0.401
Pb: 0.250 0.072 0.251
Pb: 0.250 0.928 0.751
Pb: 0.500 0.383 0.901
Pb: 0.500 0.384 0.602
Pb: 0.750 0.072 0.251
Pb: 0.750 0.928 0.751
Cl: 0.000 0.585 0.750
Cl: 0.500 0.415 0.250
O: 0.000 0.029 0.877
O: 0.000 0.031 0.626
O: 0.000 0.987 0.108
O: 0.000 0.987 0.395
O: 0.175 0.282 0.014
O: 0.175 0.282 0.488
O: 0.190 0.723 0.251
O: 0.310 0.277 0.751
O: 0.325 0.718 0.514
O: 0.325 0.718 0.988
O: 0.500 0.013 0.608
O: 0.500 0.013 0.895
O: 0.500 0.969 0.126
O: 0.500 0.971 0.377
O: 0.675 0.718 0.514
O: 0.675 0.718 0.988
O: 0.690 0.277 0.751
O: 0.810 0.723 0.251
O: 0.825 0.282 0.014
O: 0.825 0.282 0.488
F: 0.000 0.364 0.251
F: 0.500 0.636 0.751

Peak list (10 most intense, 10 to 90 degrees two-theta, sorted by position)
2theta  d_spacing  intensity
13.71  6.460  43
19.50  4.553  41
25.09  3.549  33
25.65  3.473  35
26.56  3.356  100
27.60  3.231  80
28.09  3.177  41
30.49  2.931  39
38.08  2.363  34
41.64  2.169  62